Entry 1:
Computed X-ray powder pattern of CaGa4Ag4 for Cu Kα, 1.54184 Å, from DFT lattice parameters and positions (PBE).
Kinematic intensities with the Lorentz-polarization factor, no thermal factor.

Cell and atoms:
```
data_CaGa4Ag4
_chemical_formula_sum 'Ca2 Ga8 Ag8'
_symmetry_space_group_name_H-M 'P 42/n m c'
_symmetry_Int_Tables_number 137
_cell_length_a 6.241
_cell_length_b 6.241
_cell_length_c 9.313
_cell_angle_alpha 90.00
_cell_angle_beta 90.00
_cell_angle_gamma 90.00
loop_
_symmetry_equiv_pos_as_xyz
'x,y,z'
'-x,-y,-z'
'-y+1/2,x,z+1/2'
'y+1/2,-x,-z+1/2'
'-x+1/2,-y+1/2,z'
'x+1/2,y+1/2,-z'
'y,-x+1/2,z+1/2'
'-y,x+1/2,-z+1/2'
'x+1/2,-y,-z'
'-x+1/2,y,z'
'-y,-x,-z+1/2'
'y,x,z+1/2'
'-x,y+1/2,-z'
'x,-y+1/2,z'
'y+1/2,x+1/2,-z+1/2'
'-y+1/2,-x+1/2,z+1/2'
loop_
_atom_site_label
_atom_site_fract_x
_atom_site_fract_y
_atom_site_fract_z
_atom_site_occupancy
Ca1 0.250 0.750 0.250 1
Ga1 0.035 0.250 0.046 1
Ag1 0.027 0.250 0.334 1
```

Most intense lines, 2θ = 5–70°, in order of falling intensity:
41.01°, rel. 100, (2 0 3); 33.52°, rel. 86, (2 1 1); 40.90°, rel. 56, (2 2 0); 17.10°, rel. 55, (1 0 1); 41.39°, rel. 38, (1 0 4); 67.42°, rel. 26, (3 2 4); 44.63°, rel. 20, (3 0 1); 59.22°, rel. 20, (4 0 0); 23.84°, rel. 19, (1 0 2); 51.09°, rel. 17, (2 1 4)

***

Entry 2:
Computed X-ray powder pattern of RbBeAgCl4 for Cu Kα, 1.54184 Å, from DFT lattice parameters and positions (PBE).
Kinematic intensities with the Lorentz-polarization factor, no thermal factor.

Cell and atoms:
```
data_RbBeAgCl4
_chemical_formula_sum 'Rb2 Be2 Ag2 Cl8'
_symmetry_space_group_name_H-M 'P 1 21/m 1'
_symmetry_Int_Tables_number 11
_cell_length_a 6.292
_cell_length_b 7.137
_cell_length_c 8.740
_cell_angle_alpha 90.00
_cell_angle_beta 107.34
_cell_angle_gamma 90.00
loop_
_symmetry_equiv_pos_as_xyz
'x,y,z'
'-x,-y,-z'
'-x,y+1/2,-z'
'x,-y+1/2,z'
loop_
_atom_site_label
_atom_site_fract_x
_atom_site_fract_y
_atom_site_fract_z
_atom_site_occupancy
Rb1 0.220 0.250 0.418 1
Be1 0.299 0.750 0.194 1
Ag1 0.317 0.250 0.975 1
Cl1 0.068 0.750 0.978 1
Cl2 0.172 0.750 0.380 1
Cl3 0.490 0.022 0.786 1
```

Most intense lines, 2θ = 5–70°, in order of falling intensity:
19.31°, rel. 100, (1 1 0); 33.55°, rel. 99, (1 2 -2); 33.03°, rel. 92, (0 2 2); 24.95°, rel. 69, (0 2 0); 31.10°, rel. 59, (2 0 -2); 32.11°, rel. 51, (1 1 2); 10.60°, rel. 48, (0 0 1); 39.21°, rel. 46, (2 2 0); 29.49°, rel. 45, (1 0 2); 21.30°, rel. 31, (0 0 2)

***

Entry 3:
Computed X-ray powder pattern of CsSrS14 for Cu Kα, 1.54184 Å, from DFT lattice parameters and positions (PBE).
Kinematic intensities with the Lorentz-polarization factor, no thermal factor.

Cell and atoms:
```
data_CsSrS14
_chemical_formula_sum 'Cs4 Sr4 S56'
_symmetry_space_group_name_H-M 'C 1 c 1'
_symmetry_Int_Tables_number 9
_cell_length_a 18.090
_cell_length_b 10.303
_cell_length_c 11.683
_cell_angle_alpha 90.00
_cell_angle_beta 110.54
_cell_angle_gamma 90.00
loop_
_symmetry_equiv_pos_as_xyz
'x,y,z'
'x,-y,z+1/2'
'x+1/2,y+1/2,z'
'x+1/2,-y+1/2,z+1/2'
loop_
_atom_site_label
_atom_site_fract_x
_atom_site_fract_y
_atom_site_fract_z
_atom_site_occupancy
Cs1 0.000 0.095 0.000 1
Sr1 0.229 0.312 0.756 1
S1 0.064 0.484 0.646 1
S2 0.071 0.370 0.796 1
S3 0.082 0.177 0.758 1
S4 0.196 0.038 0.439 1
S5 0.210 0.362 0.456 1
S6 0.216 0.000 0.253 1
S7 0.230 0.291 0.171 1
S8 0.272 0.179 0.516 1
S9 0.298 0.490 0.471 1
S10 0.300 0.125 0.253 1
S11 0.308 0.437 0.215 1
S12 0.403 0.304 0.871 1
S13 0.442 0.119 0.863 1
S14 0.448 0.012 0.014 1
```

Most intense lines, 2θ = 5–70°, in order of falling intensity:
15.91°, rel. 100, (2 0 -2); 24.66°, rel. 99, (1 1 -3); 20.98°, rel. 90, (4 0 0); 20.33°, rel. 66, (2 2 -1); 21.86°, rel. 63, (3 1 1); 30.06°, rel. 56, (6 0 -2); 14.02°, rel. 56, (1 1 1); 27.73°, rel. 54, (5 1 0); 32.15°, rel. 50, (4 0 -4); 31.44°, rel. 50, (5 1 1)

***

Entry 4:
Computed X-ray powder pattern of Tb2Er4Mg5 for Cu Kα, 1.54184 Å, from DFT lattice parameters and positions (PBE).
Kinematic intensities with the Lorentz-polarization factor, no thermal factor.

Cell and atoms:
```
data_Tb2Er4Mg5
_chemical_formula_sum 'Tb8 Er16 Mg20'
_symmetry_space_group_name_H-M 'F m m m'
_symmetry_Int_Tables_number 69
_symmetry_space_group_name_Hall '-F 2 2'
_cell_length_a 6.168
_cell_length_b 10.052
_cell_length_c 22.063
_cell_angle_alpha 90.00
_cell_angle_beta 90.00
_cell_angle_gamma 90.00
loop_
_atom_site_label
_atom_site_fract_x
_atom_site_fract_y
_atom_site_fract_z
_atom_site_occupancy
Tb1 0.000 0.000 0.114 1
Er1 0.000 0.168 0.374 1
Mg1 0.000 0.000 0.500 1
Mg2 0.250 0.250 0.000 1
Mg3 0.250 0.250 0.250 1
```

Most intense lines, 2θ = 5–70°, in order of falling intensity:
16.07°, rel. 100, (0 0 4); 30.63°, rel. 57, (1 3 1); 33.29°, rel. 54, (2 0 4); 32.77°, rel. 47, (1 3 3); 36.69°, rel. 45, (1 3 5); 32.46°, rel. 30, (0 0 8); 28.95°, rel. 29, (2 0 0); 48.31°, rel. 19, (1 3 9); 44.05°, rel. 17, (2 0 8); 41.99°, rel. 16, (1 3 7)